The following is a simulated powder diffraction line list of KBa2BiO6. It was derived from a DFT-relaxed cell (GGA-PBE, Alexandria), using a wavelength of 1.5418 Å.
No peak broadening, texture or thermal motion is included.

Crystal structure
a b c (Å): 6.3924 6.6605 10.9531
angles (deg): 90.00 124.37 90.00
Fractional positions:
1 K 0.0000 0.0000 0.0000
2 K 0.0000 0.5000 0.5000
3 Ba 0.2268 0.0537 0.7440
4 Ba 0.2268 0.4463 0.2440
5 Ba 0.7732 0.5537 0.7560
6 Ba 0.7732 0.9463 0.2560
7 Bi 0.5000 0.0000 0.5000
8 Bi 0.5000 0.5000 0.0000
9 O 0.1829 0.1718 0.4549
10 O 0.1829 0.3282 0.9549
11 O 0.2606 0.7395 0.4251
12 O 0.2606 0.7605 0.9251
13 O 0.3982 0.0624 0.2822
14 O 0.3982 0.4376 0.7822
15 O 0.6018 0.5624 0.2178
16 O 0.6018 0.9376 0.7178
17 O 0.7394 0.2395 0.0749
18 O 0.7394 0.2605 0.5749
19 O 0.8171 0.6718 0.0451
20 O 0.8171 0.8282 0.5451

Largest 12 diffraction maxima, by intensity, 2θ from 10° to 90°:
27.9°, d 3.200, I = 100.0, hkl 1 1 -3
27.4°, d 3.255, I = 70.4, hkl 1 1 1
16.5°, d 5.362, I = 38.8, hkl 0 1 1
26.8°, d 3.330, I = 30.5, hkl 0 2 0
39.1°, d 2.306, I = 29.2, hkl 2 2 -2
48.8°, d 1.866, I = 23.9, hkl 3 1 -1
17.2°, d 5.163, I = 18.9, hkl 1 0 -2
39.9°, d 2.260, I = 16.8, hkl 0 0 4
49.7°, d 1.836, I = 15.2, hkl 3 1 -5
48.7°, d 1.870, I = 14.4, hkl 0 2 4
32.4°, d 2.762, I = 12.8, hkl 2 1 -1
64.7°, d 1.440, I = 11.5, hkl 1 1 5